[1]
# VTeRuPb2
Theoretical X-ray diffraction stick pattern, Cu Kα X-rays. Input: a cell relaxed with PBE.

The 10 most intense peaks (10° ≤ 2θ ≤ 90°), low angle first:
index	2theta	I (rel.)
0 0 1	19.98	10.4
1 1 1	30.42	100.0
2 0 0	32.33	58.8
0 0 2	40.60	15.9
2 2 0	46.37	21.7
2 0 2	52.82	29.5
3 1 1	56.48	36.0
2 2 2	63.31	17.1
4 0 0	67.64	17.6
3 1 3	85.94	11.6

Structural model:
```
data_VTeRuPb2
_chemical_formula_sum 'V1 Te1 Ru1 Pb2'
_space_group_name_H-M_alt 'P 1'
_space_group_IT_number 1
_cell_length_a 5.538
_cell_length_b 5.538
_cell_length_c 4.444
_cell_angle_alpha 90.00
_cell_angle_beta 90.00
_cell_angle_gamma 90.00
loop_
_space_group_symop_operation_xyz
'x,y,z'
loop_
_atom_site_label
_atom_site_type_symbol
_atom_site_fract_x
_atom_site_fract_y
_atom_site_fract_z
V1 V 0.000 0.000 0.000
Te1 Te 0.500 0.500 0.500
Ru1 Ru 0.000 0.000 0.500
Pb1 Pb 0.000 0.500 0.000
Pb2 Pb 0.500 0.000 0.000
```

[2]
# TaNb2Ir4
Theoretical X-ray diffraction stick pattern, Cu Kα X-rays. Input: a cell relaxed with PBE.

The 10 most intense peaks (10° ≤ 2θ ≤ 90°), low angle first:
index	2theta	I (rel.)
1 0 1	21.66	12.2
0 0 2	34.57	44.1
2 2 0	37.99	53.5
1 1 2	39.61	22.7
3 1 0	42.68	12.0
2 0 2	44.15	100.0
3 2 1	52.30	24.1
3 3 2	69.72	15.6
0 0 4	72.92	26.9
5 2 1	79.17	18.4

Structural model:
```
data_TaNb2Ir4
_chemical_formula_sum 'Ta2 Nb4 Ir8'
_space_group_name_H-M_alt 'P 1'
_space_group_IT_number 1
_cell_length_a 6.699
_cell_length_b 6.699
_cell_length_c 5.188
_cell_angle_alpha 90.00
_cell_angle_beta 90.00
_cell_angle_gamma 90.00
loop_
_space_group_symop_operation_xyz
'x,y,z'
loop_
_atom_site_label
_atom_site_type_symbol
_atom_site_fract_x
_atom_site_fract_y
_atom_site_fract_z
Ta1 Ta 0.000 0.000 0.000
Ta2 Ta 0.500 0.500 0.500
Nb1 Nb 0.000 0.000 0.500
Nb2 Nb 0.000 0.500 0.250
Nb3 Nb 0.500 0.000 0.750
Nb4 Nb 0.500 0.500 0.000
Ir1 Ir 0.203 0.297 0.750
Ir2 Ir 0.203 0.703 0.750
Ir3 Ir 0.297 0.203 0.250
Ir4 Ir 0.297 0.797 0.250
Ir5 Ir 0.703 0.203 0.250
Ir6 Ir 0.703 0.797 0.250
Ir7 Ir 0.797 0.297 0.750
Ir8 Ir 0.797 0.703 0.750
```